# CsLiMnP3HO10
Calculated powder diffractogram, Cu Kα (λ = 1.5418 Å). Input: a structure optimized by DFT (GGA+U).
Peak positions follow from Bragg's law for the DFT cell and can differ from measured ones.

Peak list (8 most intense, 10 to 90 degrees two-theta, sorted by position)
2θ/deg  I/Imax
17.0  39
19.2  68
20.3  54
23.5  49
24.8  63
27.8  100
28.6  49
29.6  55

Crystal structure
Lattice parameters (Å, degrees): 6.595 6.595 6.690 108.64 108.64 85.10
Element x y z (fractional)
Cs (0.000, 0.000, 0.000)
Li (0.971, 0.029, 0.500)
Mn (0.321, 0.679, 0.500)
P (0.414, 0.214, 0.582)
P (0.426, 0.574, 0.000)
P (0.786, 0.586, 0.418)
H (0.720, 0.280, 0.500)
O (0.271, 0.594, 0.128)
O (0.280, 0.013, 0.522)
O (0.306, 0.348, 0.435)
O (0.406, 0.729, 0.872)
O (0.416, 0.330, 0.839)
O (0.652, 0.694, 0.565)
O (0.654, 0.175, 0.589)
O (0.670, 0.584, 0.161)
O (0.825, 0.346, 0.411)
O (0.987, 0.720, 0.478)